[1]
For FeGe4H24C8S10N2, DFT lattice parameters and positions (GGA-PBE) gives the simulated powder diffractogram in this record (CuKα).
Kinematic intensities with the Lorentz-polarization factor, no thermal factor.

Largest 6 diffraction maxima, in order of rising 2θ, 10 to 80 degrees two-theta:
- 11.0°, d 8.015, I 100
- 17.8°, d 4.970, I 47
- 21.6°, d 4.112, I 20
- 22.2°, d 4.007, I 29
- 27.7°, d 3.218, I 63
- 47.9°, d 1.899, I 23

Atomic structure:
```
FeGe4H24C8S10N2
1.0
-4.791 4.791 7.312
4.791 -4.791 7.312
4.791 4.791 -7.312
Fe Ge H C S N
1 4 24 8 10 2
direct
0.000 0.000 0.000
0.095 0.839 0.612
0.161 0.774 0.256
0.226 0.482 0.388
0.518 0.905 0.744
0.238 0.412 0.803
0.331 0.263 0.839
0.335 0.304 0.687
0.352 0.665 0.968
0.424 0.492 0.161
0.508 0.669 0.932
0.535 0.048 0.320
0.566 0.762 0.175
0.573 0.366 0.397
0.588 0.391 0.825
0.603 0.332 0.602
0.609 0.434 0.197
0.617 0.648 0.313
0.634 0.031 0.207
0.668 0.270 0.271
0.696 0.383 0.032
0.728 0.215 0.680
0.730 0.001 0.398
0.737 0.576 0.068
0.785 0.465 0.513
0.824 0.427 0.793
0.952 0.272 0.487
0.969 0.176 0.603
0.999 0.397 0.729
0.340 0.359 0.819
0.480 0.660 0.020
0.540 0.520 0.181
0.641 0.460 0.980
0.655 0.068 0.343
0.689 0.345 0.414
0.725 0.311 0.657
0.932 0.275 0.586
0.001 0.864 0.365
0.068 0.568 0.500
0.068 0.774 0.999
0.136 0.501 0.137
0.226 0.225 0.294
0.364 0.999 0.863
0.432 0.932 0.500
0.499 0.636 0.635
0.775 0.069 0.001
0.931 0.932 0.706
0.500 0.500 0.000
0.750 0.250 0.500
```

[2]
For CaMg3Si4O12, DFT lattice parameters and positions (GGA-PBE) gives the simulated powder diffractogram in this record (CuKα).
Kinematic intensities with the Lorentz-polarization factor, no thermal factor.

Largest 6 diffraction maxima, in order of rising 2θ, 10 to 80 degrees two-theta:
- 27.4°, d 3.251, I 33
- 29.4°, d 3.042, I 100
- 30.2°, d 2.958, I 78
- 35.4°, d 2.532, I 39
- 35.8°, d 2.507, I 34
- 55.8°, d 1.647, I 42

Atomic structure:
```
CaMg3Si4O12
1.0
4.939 -4.498 0.000
4.939 4.498 0.000
-1.619 0.000 5.064
Ca Mg Si O
1 3 4 12
direct
0.000 0.000 0.000
0.204 0.796 0.500
0.393 0.607 0.000
0.554 0.446 0.500
0.104 0.317 0.507
0.500 0.083 0.000
0.683 0.896 0.493
0.917 0.500 0.000
0.090 0.672 0.102
0.189 0.084 0.423
0.276 0.492 0.605
0.328 0.910 0.898
0.432 0.320 0.110
0.508 0.724 0.395
0.636 0.065 0.764
0.675 0.026 0.258
0.680 0.568 0.890
0.916 0.811 0.577
0.935 0.364 0.236
0.974 0.325 0.742
```

[3]
For LiEr2Os, DFT lattice parameters and positions (GGA-PBE) gives the simulated powder diffractogram in this record (CuKα).
Kinematic intensities with the Lorentz-polarization factor, no thermal factor.

Largest 6 diffraction maxima, in order of rising 2θ, 10 to 80 degrees two-theta:
- 22.4°, d 3.966, I 29
- 37.0°, d 2.429, I 100
- 43.7°, d 2.071, I 15
- 53.4°, d 1.717, I 18
- 66.7°, d 1.402, I 36
- 78.8°, d 1.214, I 11

Atomic structure:
```
LiEr2Os
1.0
0.000 3.434 3.434
3.434 0.000 3.434
3.434 3.434 0.000
Li Er Os
1 2 1
direct
0.000 0.000 0.000
0.250 0.250 0.250
0.750 0.750 0.750
0.500 0.500 0.500
```

[4]
For Rb2BeF4, DFT lattice parameters and positions (GGA-PBE) gives the simulated powder diffractogram in this record (CuKα).
Kinematic intensities with the Lorentz-polarization factor, no thermal factor.

Largest 6 diffraction maxima, in order of rising 2θ, 10 to 80 degrees two-theta:
- 25.3°, d 3.519, I 75
- 28.6°, d 3.118, I 100
- 29.6°, d 3.019, I 69
- 29.8°, d 2.994, I 64
- 35.6°, d 2.519, I 55
- 36.4°, d 2.466, I 42

Atomic structure:
```
Rb2BeF4
1.0
7.783 0.000 0.000
0.000 10.488 0.000
0.000 0.000 5.988
Rb Be F
8 4 16
direct
0.003 0.189 0.000
0.161 0.412 0.497
0.339 0.912 0.997
0.497 0.689 0.500
0.503 0.311 0.000
0.661 0.088 0.497
0.839 0.588 0.997
0.997 0.811 0.500
0.233 0.087 0.496
0.267 0.587 0.996
0.733 0.413 0.496
0.767 0.913 0.996
0.033 0.084 0.485
0.188 0.448 0.994
0.195 0.661 0.788
0.205 0.655 0.217
0.295 0.155 0.717
0.305 0.161 0.288
0.312 0.948 0.494
0.467 0.584 0.985
0.533 0.416 0.485
0.688 0.052 0.994
0.695 0.839 0.788
0.705 0.845 0.217
0.795 0.345 0.717
0.805 0.339 0.288
0.812 0.552 0.494
0.967 0.916 0.985
```

[5]
For EuGa2Ge4, DFT lattice parameters and positions (GGA-PBE) gives the simulated powder diffractogram in this record (CuKα).
Kinematic intensities with the Lorentz-polarization factor, no thermal factor.

Largest 6 diffraction maxima, in order of rising 2θ, 10 to 80 degrees two-theta:
- 26.2°, d 3.401, I 37
- 30.2°, d 2.961, I 100
- 30.9°, d 2.894, I 52
- 31.5°, d 2.844, I 25
- 32.5°, d 2.756, I 38
- 43.0°, d 2.102, I 35

Atomic structure:
```
EuGa2Ge4
1.0
2.102 -5.687 0.000
2.102 5.687 0.000
0.000 0.000 13.449
Eu Ga Ge
2 4 8
direct
0.208 0.792 0.750
0.792 0.208 0.250
0.477 0.523 0.091
0.477 0.523 0.409
0.523 0.477 0.591
0.523 0.477 0.909
0.068 0.932 0.155
0.068 0.932 0.345
0.259 0.741 0.055
0.259 0.741 0.445
0.741 0.259 0.555
0.741 0.259 0.945
0.932 0.068 0.655
0.932 0.068 0.845
```

[6]
For PrAs2Au, DFT lattice parameters and positions (GGA-PBE) gives the simulated powder diffractogram in this record (CuKα).
Kinematic intensities with the Lorentz-polarization factor, no thermal factor.

Largest 6 diffraction maxima, in order of rising 2θ, 10 to 80 degrees two-theta:
- 34.3°, d 2.617, I 20
- 35.1°, d 2.555, I 100
- 43.7°, d 2.071, I 30
- 56.7°, d 1.624, I 18
- 63.5°, d 1.464, I 9
- 74.7°, d 1.270, I 21

Atomic structure:
```
PrAs2Au
1.0
5.854 0.000 0.000
0.000 20.933 0.000
0.000 0.000 5.859
Pr As Au
8 16 8
direct
0.014 0.118 0.250
0.014 0.382 0.750
0.486 0.618 0.750
0.486 0.882 0.250
0.514 0.118 0.750
0.514 0.382 0.250
0.986 0.618 0.250
0.986 0.882 0.750
0.014 0.160 0.750
0.014 0.340 0.250
0.247 0.000 0.530
0.247 0.000 0.970
0.247 0.500 0.030
0.247 0.500 0.470
0.486 0.660 0.250
0.486 0.840 0.750
0.514 0.160 0.250
0.514 0.340 0.750
0.753 0.000 0.030
0.753 0.000 0.470
0.753 0.500 0.530
0.753 0.500 0.970
0.986 0.660 0.750
0.986 0.840 0.250
0.231 0.750 0.000
0.231 0.750 0.500
0.270 0.250 0.000
0.270 0.250 0.500
0.730 0.750 0.000
0.730 0.750 0.500
0.769 0.250 0.000
0.769 0.250 0.500
```

[7]
For EuO, DFT lattice parameters and positions (GGA-PBE) gives the simulated powder diffractogram in this record (CuKα).
Kinematic intensities with the Lorentz-polarization factor, no thermal factor.

Largest 6 diffraction maxima, in order of rising 2θ, 10 to 80 degrees two-theta:
- 30.5°, d 2.935, I 100
- 35.3°, d 2.542, I 80
- 50.8°, d 1.797, I 55
- 60.4°, d 1.533, I 45
- 63.4°, d 1.467, I 18
- 74.7°, d 1.271, I 9

Atomic structure:
```
EuO
1.0
0.000 2.542 2.542
2.542 0.000 2.542
2.542 2.542 0.000
Eu O
1 1
direct
0.000 0.000 0.000
0.500 0.500 0.500
```

[8]
For CrN2, DFT lattice parameters and positions (GGA-PBE) gives the simulated powder diffractogram in this record (CuKα).
Kinematic intensities with the Lorentz-polarization factor, no thermal factor.

Largest 6 diffraction maxima, in order of rising 2θ, 10 to 80 degrees two-theta:
- 14.0°, d 6.338, I 37
- 18.5°, d 4.791, I 60
- 19.1°, d 4.657, I 52
- 19.9°, d 4.454, I 52
- 22.0°, d 4.046, I 56
- 24.1°, d 3.697, I 100

Atomic structure:
```
CrN2
1.0
10.091 -7.407 0.000
10.091 7.407 0.000
-1.670 0.000 8.097
Cr N
16 32
direct
0.034 0.261 0.903
0.043 0.636 0.727
0.101 0.875 0.698
0.125 0.899 0.302
0.137 0.362 0.624
0.261 0.034 0.903
0.362 0.137 0.624
0.364 0.957 0.273
0.636 0.043 0.727
0.638 0.863 0.376
0.739 0.966 0.097
0.863 0.638 0.376
0.875 0.101 0.698
0.899 0.125 0.302
0.957 0.364 0.273
0.966 0.739 0.097
0.001 0.648 0.920
0.029 0.029 0.277
0.060 0.327 0.751
0.071 0.345 0.425
0.075 0.796 0.175
0.108 0.738 0.724
0.128 0.872 0.500
0.132 0.503 0.679
0.154 0.154 0.948
0.204 0.925 0.825
0.262 0.892 0.276
0.274 0.274 0.639
0.327 0.060 0.751
0.345 0.071 0.425
0.352 0.999 0.080
0.497 0.868 0.321
0.503 0.132 0.679
0.648 0.001 0.920
0.655 0.929 0.575
0.673 0.940 0.249
0.726 0.726 0.361
0.738 0.108 0.724
0.796 0.075 0.175
0.846 0.846 0.052
0.868 0.497 0.321
0.872 0.128 0.500
0.892 0.262 0.276
0.925 0.204 0.825
0.929 0.655 0.575
0.940 0.673 0.249
0.971 0.971 0.723
0.999 0.352 0.080
```

[9]
For Ga3Co, DFT lattice parameters and positions (GGA-PBE) gives the simulated powder diffractogram in this record (CuKα).
Kinematic intensities with the Lorentz-polarization factor, no thermal factor.

Largest 6 diffraction maxima, in order of rising 2θ, 10 to 80 degrees two-theta:
- 19.7°, d 4.502, I 21
- 34.3°, d 2.612, I 38
- 40.1°, d 2.251, I 23
- 42.7°, d 2.118, I 100
- 45.8°, d 1.983, I 57
- 75.9°, d 1.253, I 23

Atomic structure:
```
Ga3Co
1.0
6.270 0.000 0.000
0.000 6.270 0.000
0.000 0.000 6.466
Ga Co
12 4
direct
0.000 0.500 0.000
0.000 0.500 0.500
0.151 0.151 0.245
0.151 0.151 0.755
0.349 0.651 0.255
0.349 0.651 0.745
0.500 0.000 0.000
0.500 0.000 0.500
0.651 0.349 0.255
0.651 0.349 0.745
0.849 0.849 0.245
0.849 0.849 0.755
0.155 0.845 0.000
0.345 0.345 0.500
0.655 0.655 0.500
0.845 0.155 0.000
```

[10]
For MgAl2, DFT lattice parameters and positions (GGA-PBE) gives the simulated powder diffractogram in this record (CuKα).
Kinematic intensities with the Lorentz-polarization factor, no thermal factor.

Largest 6 diffraction maxima, in order of rising 2θ, 10 to 80 degrees two-theta:
- 32.7°, d 2.742, I 27
- 36.3°, d 2.475, I 67
- 38.8°, d 2.319, I 100
- 39.3°, d 2.291, I 92
- 66.6°, d 1.404, I 29
- 68.4°, d 1.371, I 28

Atomic structure:
```
MgAl2
1.0
5.483 0.000 0.000
-2.742 4.749 0.000
0.000 0.000 8.700
Mg Al
4 8
direct
0.333 0.667 0.065
0.333 0.667 0.435
0.667 0.333 0.565
0.667 0.333 0.935
0.000 0.000 0.000
0.000 0.000 0.500
0.171 0.341 0.750
0.171 0.829 0.750
0.341 0.171 0.250
0.659 0.829 0.750
0.829 0.171 0.250
0.829 0.659 0.250
```